Record 1
For Ag2N2F3, a DFT-relaxed cell (PBE, Alexandria) gives the simulated powder diffraction line list in this record (Cu Kα, 1.54184 Å).
Kinematic intensities with the Lorentz-polarization factor, no thermal factor.

Crystal structure
Lattice parameters (Å, degrees): 3.5070 5.9172 6.8022 71.97 77.31 75.24
Space group P-1 (No. 2)
Symmetry-distinct sites (fractional):
Ag 0.0973 0.2204 0.1053 (multiplicity 2)
N 0.0277 0.5512 0.5499 (multiplicity 2)
F 0.3347 0.0141 0.8030 (multiplicity 2)
F 0.5000 0.5000 0.0000 (multiplicity 1)

Peak list (10 most intense, 10° ≤ 2θ ≤ 90°, low angle first)
h k l, 2theta, I (rel.)
0 0 1, 13.9, 100
0 1 -1, 24.0, 30
1 0 0, 26.6, 19
0 1 2, 28.3, 50
0 2 1, 31.7, 15
1 1 2, 33.4, 11
1 -1 1, 37.0, 29
1 2 0, 37.9, 15
0 1 3, 41.1, 14
1 2 -1, 45.0, 12

=====

Record 2
For Na4Ag2F9, a DFT-relaxed cell (PBE, Alexandria) gives the simulated powder diffraction line list in this record (Cu Kα, 1.54184 Å).
Kinematic intensities with the Lorentz-polarization factor, no thermal factor.

Crystal structure
Lattice parameters (Å, degrees): 5.7131 5.7584 15.5205 89.25 89.97 60.30
Space group P-1 (No. 2)
Symmetry-distinct sites (fractional):
Na 0.1619 0.1698 0.3155 (multiplicity 2)
Na 0.1644 0.1665 0.0202 (multiplicity 2)
Na 0.1683 0.1701 0.8156 (multiplicity 2)
Na 0.1693 0.1664 0.5202 (multiplicity 2)
Ag 0.4932 0.5060 0.3515 (multiplicity 2)
Ag 0.4988 0.4937 0.1483 (multiplicity 2)
F 0.1469 0.5341 0.0853 (multiplicity 2)
F 0.1678 0.8002 0.5839 (multiplicity 2)
F 0.1780 0.8613 0.9143 (multiplicity 2)
F 0.1823 0.4663 0.4148 (multiplicity 2)
F 0.2041 0.7838 0.2580 (multiplicity 2)
F 0.2215 0.4999 0.7497 (multiplicity 2)
F 0.4607 0.8622 0.4141 (multiplicity 2)
F 0.4682 0.2004 0.9162 (multiplicity 2)
F 0.4876 0.2155 0.2413 (multiplicity 2)

Peak list (10 most intense, 10° ≤ 2θ ≤ 90°, low angle first)
h k l, 2theta, I (rel.)
0 1 0, 17.7, 53
1 0 0, 17.9, 100
1 1 -2, 21.3, 28
1 1 4, 29.1, 58
0 1 -4, 29.3, 39
1 2 0, 31.1, 43
0 2 0, 35.9, 27
-1 1 6, 46.9, 24
3 2 4, 54.4, 24
3 3 0, 55.6, 28

=====

Record 3
For NaAg3F8, a DFT-relaxed cell (PBE, Alexandria) gives the simulated powder diffraction line list in this record (Cu Kα, 1.54184 Å).
Kinematic intensities with the Lorentz-polarization factor, no thermal factor.

Crystal structure
Lattice parameters (Å, degrees): 5.7898 5.7898 6.5564 90.00 90.00 120.00
Space group P-3 (No. 147)
Symmetry-distinct sites (fractional):
Na 0.0000 0.0000 0.0000 (multiplicity 1)
Ag 0.0000 0.0000 0.5000 (multiplicity 1)
Ag 0.3333 0.6667 0.6447 (multiplicity 2)
F 0.0619 0.3293 0.3232 (multiplicity 6)
F 0.3333 0.6667 0.9521 (multiplicity 2)

Peak list (10 most intense, 10° ≤ 2θ ≤ 90°, low angle first)
h k l, 2theta, I (rel.)
0 0 1, 13.5, 100
0 1 1, 22.3, 76
1 1 0, 30.9, 88
0 1 2, 32.6, 53
1 1 1, 33.8, 37
2 0 1, 38.4, 35
0 1 3, 45.3, 23
2 0 2, 45.6, 34
3 0 0, 54.9, 28
3 -2 2, 56.1, 26

=====

Record 4
For NaAg4F4, a DFT-relaxed cell (PBE, Alexandria) gives the simulated powder diffraction line list in this record (Cu Kα, 1.54184 Å).
Kinematic intensities with the Lorentz-polarization factor, no thermal factor.

Crystal structure
Lattice parameters (Å, degrees): 5.8558 5.8558 9.0768 90.00 90.00 90.00
Space group I-42m (No. 121)
Symmetry-distinct sites (fractional):
Na 0.0000 0.0000 0.0000 (multiplicity 2)
Ag 0.0000 0.0000 0.3490 (multiplicity 4)
Ag 0.0000 0.5000 0.0000 (multiplicity 4)
F 0.2040 0.2040 0.8502 (multiplicity 8)

Peak list (10 most intense, 10° ≤ 2θ ≤ 90°, low angle first)
h k l, 2theta, I (rel.)
1 0 1, 18.0, 34
1 1 2, 29.2, 100
2 0 0, 30.5, 91
1 0 3, 33.3, 42
2 0 2, 36.5, 26
2 2 0, 43.7, 56
1 1 4, 45.6, 53
2 1 3, 45.8, 46
3 1 2, 53.4, 32
3 1 4, 65.0, 32

=====

Record 5
For NaAg2F7, a DFT-relaxed cell (PBE, Alexandria) gives the simulated powder diffraction line list in this record (Cu Kα, 1.54184 Å).
Kinematic intensities with the Lorentz-polarization factor, no thermal factor.

Crystal structure
Lattice parameters (Å, degrees): 6.4639 11.9242 4.1295 90.00 90.00 90.00
Space group Cmmm (No. 65)
Symmetry-distinct sites (fractional):
Na 0.0000 0.0000 0.0000 (multiplicity 2)
Ag 0.0000 0.3270 0.5000 (multiplicity 4)
F 0.0000 0.3258 0.0000 (multiplicity 4)
F 0.0000 0.5000 0.5000 (multiplicity 2)
F 0.1848 0.1468 0.5000 (multiplicity 8)

Peak list (10 most intense, 10° ≤ 2θ ≤ 90°, low angle first)
h k l, 2theta, I (rel.)
0 2 0, 14.9, 43
1 1 0, 15.6, 47
0 0 1, 21.5, 77
1 3 0, 26.3, 100
1 1 1, 26.7, 33
2 0 0, 27.6, 39
0 0 2, 43.8, 24
0 6 0, 45.6, 18
3 3 0, 48.0, 27
1 3 2, 51.9, 23

=====

Record 6
For Na4Ag3F12, a DFT-relaxed cell (PBE, Alexandria) gives the simulated powder diffraction line list in this record (Cu Kα, 1.54184 Å).
Kinematic intensities with the Lorentz-polarization factor, no thermal factor.

Crystal structure
Lattice parameters (Å, degrees): 8.4683 8.4683 8.4683 90.00 90.00 90.00
Space group Im-3 (No. 204)
Symmetry-distinct sites (fractional):
Na 0.2500 0.2500 0.2500 (multiplicity 8)
Ag 0.0000 0.0000 0.5000 (multiplicity 6)
F 0.0000 0.1697 0.3340 (multiplicity 24)

Peak list (10 most intense, 10° ≤ 2θ ≤ 90°, low angle first)
h k l, 2theta, I (rel.)
1 1 0, 14.8, 70
2 0 0, 21.0, 48
2 1 1, 25.8, 35
2 2 0, 29.8, 100
3 0 1, 33.5, 21
2 2 2, 36.8, 25
4 0 0, 42.7, 25
4 2 2, 53.0, 64
6 2 0, 70.3, 20
6 2 4, 85.9, 19